CaMn3Cu3RuO12: simulated X-ray diffraction stick pattern (λ = 1.5418 Å (Cu Kα)), based on a structure optimized by DFT (PBE+U).

Crystal structure
```
data_CaMn3Cu3RuO12
_chemical_formula_sum 'Ca1 Mn3 Cu3 Ru1 O12'
_cell_length_a 6.404
_cell_length_b 6.479
_cell_length_c 6.480
_cell_angle_alpha 109.73
_cell_angle_beta 109.15
_cell_angle_gamma 109.29
_symmetry_space_group_name_H-M 'P 1'
_symmetry_Int_Tables_number 1
loop_
_symmetry_equiv_pos_as_xyz
'x,y,z'
loop_
_atom_site_label
_atom_site_fract_x
_atom_site_fract_y
_atom_site_fract_z
_atom_site_occupancy
Ca1 0.000 0.000 0.000 1
Mn1 0.000 0.000 0.500 1
Mn2 0.000 0.500 0.000 1
Mn3 0.500 0.500 0.500 1
Cu1 0.000 0.500 0.500 1
Cu2 0.500 0.000 0.500 1
Cu3 0.500 0.500 0.000 1
Ru1 0.500 0.000 0.000 1
O1 0.139 0.834 0.320 1
O2 0.172 0.698 0.860 1
O3 0.181 0.320 0.485 1
O4 0.305 0.486 0.166 1
O5 0.312 0.140 0.839 1
O6 0.474 0.162 0.302 1
O7 0.526 0.838 0.698 1
O8 0.688 0.860 0.161 1
O9 0.695 0.514 0.834 1
O10 0.819 0.680 0.515 1
O11 0.828 0.302 0.140 1
O12 0.861 0.166 0.680 1
```

Principal peaks in the range 2θ = 10–80°, in order of falling intensity:
| d [Å] | intensity | index |
| --- | --- | --- |
| 2.649 | 100 | 0 0 2 |
| 2.626 | 93 | 2 0 0 |
| 1.865 | 48 | 2 2 -2 |
| 1.525 | 47 | 2 0 -4 |
| 1.529 | 23 | 0 2 2 |
| 1.512 | 23 | 4 -2 0 |
| 5.251 | 15 | 1 -1 0 |
| 3.050 | 13 | 1 0 1 |
| 1.313 | 11 | 4 0 -4 |
| 1.324 | 11 | 0 4 0 |
| 2.365 | 7 | 1 2 -1 |
| 2.353 | 5 | 2 1 -1 |